The following is a simulated XRD peak list of Sr2TiP2O9. It was derived from a crystal structure in the Materials Project, relaxed with PBE, using Cu Kα X-rays.
Intensities are scaled so that the largest is 100.

Cell and atoms:
Cell: 7.4404 16.0122 6.8540 Å, 90.00 120.32 90.00°
Space group Cc (No. 9)
Inequivalent atoms, fractional coordinates:
Sr: 0.0000 0.0431 0.0000 (multiplicity 4)
Sr: 0.4990 0.1240 0.9994 (multiplicity 4)
Ti: 0.2685 0.2531 0.2677 (multiplicity 4)
P: 0.9999 0.1629 0.4995 (multiplicity 4)
P: 0.0000 0.4228 0.9998 (multiplicity 4)
O: 0.1107 0.1070 0.7110 (multiplicity 4)
O: 0.1192 0.3644 0.2134 (multiplicity 4)
O: 0.1550 0.2230 0.4758 (multiplicity 4)
O: 0.1638 0.4764 0.9876 (multiplicity 4)
O: 0.3353 0.0238 0.5108 (multiplicity 4)
O: 0.3447 0.2772 0.0252 (multiplicity 4)
O: 0.3805 0.1363 0.2867 (multiplicity 4)
O: 0.3885 0.3927 0.7876 (multiplicity 4)
O: 0.4971 0.2934 0.4964 (multiplicity 4)

Principal peaks in the range 2θ from 10° to 90°, in order of rising 2θ:
- 2θ 25.71, 3.465 Å, rel. 36, hkl 1 1 1
- 2θ 27.78, 3.211 Å, rel. 48, hkl 2 0 0
- 2θ 28.93, 3.087 Å, rel. 98, hkl 2 0 -2
- 2θ 30.22, 2.957 Å, rel. 71, hkl 0 0 2
- 2θ 31.21, 2.866 Å, rel. 30, hkl 1 5 0
- 2θ 31.47, 2.843 Å, rel. 100, hkl 1 5 -1
- 2θ 35.85, 2.505 Å, rel. 28, hkl 2 4 0
- 2θ 37.84, 2.378 Å, rel. 33, hkl 1 5 1
- 2θ 47.28, 1.922 Å, rel. 31, hkl 1 7 1
- 2θ 49.00, 1.859 Å, rel. 28, hkl 4 0 -2

---

The following is a simulated XRD peak list of K3U2O6F7. It was derived from a crystal structure in the Materials Project, relaxed with PBE, using Cu Kα X-rays.
Intensities are scaled so that the largest is 100.

Cell and atoms:
Cell: 6.4286 11.6370 9.3173 Å, 90.00 94.14 90.00°
Space group P2_1/m (No. 11)
Inequivalent atoms, fractional coordinates:
K: 0.0000 0.0000 0.0000 (multiplicity 2)
K: 0.1190 0.2500 0.5612 (multiplicity 2)
K: 0.4628 0.2500 0.9343 (multiplicity 2)
U: 0.4055 0.5581 0.6873 (multiplicity 4)
O: 0.0897 0.2500 0.0971 (multiplicity 2)
O: 0.1646 0.6079 0.5941 (multiplicity 4)
O: 0.2673 0.7500 0.2903 (multiplicity 2)
O: 0.3477 0.0096 0.2225 (multiplicity 4)
F: 0.2385 0.0924 0.7798 (multiplicity 4)
F: 0.3038 0.6214 0.8953 (multiplicity 4)
F: 0.4216 0.0971 0.5245 (multiplicity 4)
F: 0.4726 0.2500 0.2992 (multiplicity 2)

Principal peaks in the range 2θ from 10° to 90°, in order of rising 2θ:
- 2θ 13.81, 6.412 Å, rel. 100, hkl 1 0 0
- 2θ 15.23, 5.819 Å, rel. 49, hkl 0 2 0
- 2θ 17.36, 5.108 Å, rel. 68, hkl 1 0 1
- 2θ 20.61, 4.310 Å, rel. 36, hkl 1 2 0
- 2θ 22.81, 3.899 Å, rel. 49, hkl 1 0 -2
- 2θ 23.17, 3.839 Å, rel. 56, hkl 1 2 1
- 2θ 24.87, 3.580 Å, rel. 49, hkl 0 3 1
- 2θ 27.54, 3.239 Å, rel. 33, hkl 1 2 -2
- 2θ 28.21, 3.163 Å, rel. 35, hkl 1 3 -1
- 2θ 28.82, 3.097 Å, rel. 35, hkl 0 0 3

---

The following is a simulated XRD peak list of Sr3Nb3N5. It was derived from a crystal structure in the Materials Project, relaxed with PBE, using Cu Kα X-rays.
Intensities are scaled so that the largest is 100.

Cell and atoms:
Cell: 6.2008 8.0495 8.2139 Å, 107.59 101.96 102.07°
Space group P-1 (No. 2)
Inequivalent atoms, fractional coordinates:
Sr: 0.1379 0.3263 0.3784 (multiplicity 2)
Sr: 0.1876 0.1700 0.7278 (multiplicity 2)
Sr: 0.2476 0.9345 0.0764 (multiplicity 2)
Nb: 0.2234 0.5091 0.0989 (multiplicity 2)
Nb: 0.4033 0.8172 0.4992 (multiplicity 2)
Nb: 0.4042 0.6282 0.7994 (multiplicity 2)
N: 0.0988 0.5358 0.8511 (multiplicity 2)
N: 0.2365 0.2471 0.0645 (multiplicity 2)
N: 0.2709 0.0095 0.4120 (multiplicity 2)
N: 0.3245 0.8435 0.7324 (multiplicity 2)
N: 0.4991 0.4007 0.6591 (multiplicity 2)

Principal peaks in the range 2θ from 10° to 90°, in order of rising 2θ:
- 2θ 29.11, 3.068 Å, rel. 58, hkl 1 -1 2
- 2θ 29.62, 3.016 Å, rel. 27, hkl 2 -1 0
- 2θ 30.21, 2.959 Å, rel. 47, hkl -2 1 1
- 2θ 30.77, 2.906 Å, rel. 100, hkl 0 2 1
- 2θ 31.41, 2.848 Å, rel. 97, hkl 1 2 -2
- 2θ 34.44, 2.604 Å, rel. 46, hkl 1 -3 1
- 2θ 34.74, 2.582 Å, rel. 89, hkl 1 0 -3
- 2θ 35.44, 2.533 Å, rel. 23, hkl -2 2 1
- 2θ 36.47, 2.464 Å, rel. 32, hkl 2 1 0
- 2θ 37.61, 2.392 Å, rel. 22, hkl 1 -3 2

---

The following is a simulated XRD peak list of Ca2Ga2SiH2O8. It was derived from a crystal structure in the Materials Project, relaxed with PBE, using Cu Kα X-rays.
Intensities are scaled so that the largest is 100.

Cell and atoms:
Cell: 7.8015 7.8200 7.8249 Å, 109.43 109.02 109.66°
Space group P1 (No. 1)
Inequivalent atoms, fractional coordinates:
Ca: 0.0000 0.0000 0.0000 (multiplicity 1)
Ca: 0.0050 0.7129 0.2700 (multiplicity 1)
Ca: 0.2846 0.2755 0.5577 (multiplicity 1)
Ca: 0.7288 0.9958 0.2895 (multiplicity 1)
Ga: 0.2501 0.4827 0.0232 (multiplicity 1)
Ga: 0.2665 0.7520 0.7882 (multiplicity 1)
Ga: 0.5145 0.2446 0.0366 (multiplicity 1)
Ga: 0.7646 0.5139 0.5374 (multiplicity 1)
Si: 0.4986 0.7527 0.5251 (multiplicity 1)
Si: 0.7435 0.2416 0.7691 (multiplicity 1)
H: 0.0189 0.9700 0.6255 (multiplicity 1)
H: 0.3453 0.9988 0.2449 (multiplicity 1)
H: 0.6322 0.6572 0.9385 (multiplicity 1)
H: 0.9735 0.3379 0.2820 (multiplicity 1)
O: 0.0060 0.2295 0.2869 (multiplicity 1)
O: 0.0082 0.9900 0.5071 (multiplicity 1)
O: 0.0167 0.7478 0.7417 (multiplicity 1)
O: 0.2325 0.9984 0.2719 (multiplicity 1)
O: 0.2735 0.2534 0.0028 (multiplicity 1)
O: 0.2937 0.7318 0.5513 (multiplicity 1)
O: 0.2971 0.5414 0.8286 (multiplicity 1)
O: 0.4486 0.7221 0.2923 (multiplicity 1)
O: 0.4759 0.9967 0.0301 (multiplicity 1)
O: 0.5600 0.5824 0.5656 (multiplicity 1)
O: 0.5606 0.2637 0.8181 (multiplicity 1)
O: 0.7048 0.9969 0.7028 (multiplicity 1)
O: 0.7263 0.2744 0.5683 (multiplicity 1)
O: 0.7555 0.4537 0.2853 (multiplicity 1)
O: 0.7725 0.7653 0.0517 (multiplicity 1)
O: 0.9747 0.4105 0.9790 (multiplicity 1)

Principal peaks in the range 2θ from 10° to 90°, in order of rising 2θ:
- 2θ 13.85, 6.395 Å, rel. 29, hkl 0 1 0
- 2θ 24.04, 3.703 Å, rel. 49, hkl 0 1 -2
- 2θ 24.15, 3.686 Å, rel. 100, hkl 2 -1 0
- 2θ 31.18, 2.868 Å, rel. 30, hkl 2 -1 1
- 2θ 31.25, 2.862 Å, rel. 47, hkl -1 1 2
- 2θ 31.38, 2.850 Å, rel. 66, hkl 1 2 -1
- 2θ 34.25, 2.618 Å, rel. 25, hkl 1 1 1
- 2θ 34.39, 2.607 Å, rel. 48, hkl 1 1 -3
- 2θ 37.28, 2.412 Å, rel. 28, hkl 0 3 -2
- 2θ 57.73, 1.597 Å, rel. 65, hkl 0 4 -4